Entry 1:
Simulated powder XRD pattern of ZrSbH for Cu Kα X-rays, from a structure optimized by DFT (PBE).
Lines closer than 0.1° are merged.

Top 6 peaks for 2θ from 10° to 80°, low angle first:
2theta  Rel. int.
27.3  34
35.5  100
45.5  11
48.2  28
61.2  20
68.4  19

Cell and atoms:
```
3
Lattice="3.7782 0.0000 0.0000 -1.8891 3.2720 0.0000 0.0000 0.0000 3.9891" Properties=species:S:1:pos:R:3 pbc="T T T"
Zr 0.0000 0.0000 0.0000
Sb 1.8891 1.0907 1.9945
H 0.0000 2.1813 0.0000
```



Entry 2:
Simulated powder XRD pattern of Zr2SbH for Cu Kα X-rays, from a structure optimized by DFT (PBE).
Lines closer than 0.1° are merged.

Top 6 peaks for 2θ from 10° to 80°, low angle first:
2theta  Rel. int.
34.8  100
36.4  17
36.7  24
52.7  12
61.3  15
64.9  16

Cell and atoms:
```
8
Lattice="1.9222 -7.4006 0.0000 1.9222 7.4006 0.0000 0.0000 0.0000 4.8924" Properties=species:S:1:pos:R:3 pbc="T T T"
Zr 1.9222 6.4354 3.6693
Zr 1.9222 3.5579 1.2231
Zr 1.9222 -3.5579 3.6693
Zr 1.9222 -6.4354 1.2231
Sb 1.9222 1.4442 3.6693
Sb 1.9222 -1.4442 1.2231
H 1.9222 4.4395 3.6693
H 1.9222 -4.4395 1.2231
```



Entry 3:
Simulated powder XRD pattern of Zr4SbH for Cu Kα X-rays, from a structure optimized by DFT (PBE).
Lines closer than 0.1° are merged.

Top 6 peaks for 2θ from 10° to 80°, low angle first:
2theta  Rel. int.
32.5  64
33.7  41
35.4  100
36.2  82
39.5  68
58.3  24

Cell and atoms:
```
12
Lattice="7.6760 -2.7814 0.0000 7.6760 2.7814 0.0000 -0.8584 0.0000 5.5037" Properties=species:S:1:pos:R:3 pbc="T T T"
Zr 5.5041 1.7943 3.9025
Zr 4.3787 0.7256 1.0360
Zr 8.5602 1.7943 4.3530
Zr 3.9495 -0.7256 3.7878
Zr 10.5441 0.7256 1.7159
Zr 5.9333 -1.7943 1.1507
Zr 10.1148 -0.7256 4.4677
Zr 8.9894 -1.7943 1.6012
Sb 7.4614 1.1282 1.3759
Sb 7.0322 -1.1282 4.1278
H 3.4088 1.3907 2.7519
H 3.8380 -1.3907 0.0000
```